Starting from a GGA-PBE-relaxed structure, the PXRD pattern of NaSr2NbHg was simulated for Cu Kα (weighted mean of Kα1 and Kα2).
Lines closer than 0.1° are merged.

Cell and atoms:
```
NaSr2NbHg
1.0
6.228 0.000 0.000
0.000 6.228 0.000
0.000 0.000 5.425
Na Sr Nb Hg
1 2 1 1
Direct
0.000 0.000 0.000 Na
0.000 0.500 0.500 Sr
0.500 0.000 0.500 Sr
0.500 0.500 0.000 Nb
0.500 0.500 0.500 Hg
```

Peak list (12 most intense, 10 to 90 degrees two-theta, by intensity)
d 6.228, intensity 100, hkl 1 0 0
d 3.114, intensity 66, hkl 2 0 0
d 2.045, intensity 40, hkl 2 0 2
d 5.425, intensity 32, hkl 0 0 1
d 2.785, intensity 29, hkl 2 1 0
d 2.202, intensity 25, hkl 2 2 0
d 2.701, intensity 24, hkl 2 0 1
d 1.710, intensity 23, hkl 2 2 2
d 2.713, intensity 23, hkl 0 0 2
d 2.487, intensity 21, hkl 1 0 2
d 1.943, intensity 21, hkl 2 1 2
d 4.091, intensity 17, hkl 1 0 1